[1]
This entry pairs a crystal structure of Ta7Nb2Re with its simulated PXRD pattern. Radiation: copper Kα. Structure: a DFT-relaxed cell (PBE, Alexandria).
No peak broadening, texture or thermal motion is included.

Atomic structure:
Unit cell a=3.2614 b=6.6178 c=8.5613 alpha=100.86 beta=100.65 gamma=90.04
Fractional positions:
Ta: 0.0000 0.0000 0.0000
Ta: 0.1982 0.0990 0.3966
Ta: 0.4014 0.2091 0.8043
Ta: 0.4040 0.6936 0.8074
Ta: 0.5960 0.3064 0.1926
Ta: 0.5986 0.7909 0.1957
Ta: 0.8018 0.9010 0.6034
Nb: 0.2015 0.6003 0.4034
Nb: 0.7985 0.3997 0.5966
Re: 0.0000 0.5000 0.0000

The 10 most intense peaks (2θ from 15° to 90°), in order of rising 2θ:
2θ = 38.41°, d = 2.343 Å, I = 51
2θ = 38.65°, d = 2.330 Å, I = 100
2θ = 38.77°, d = 2.323 Å, I = 100
2θ = 38.92°, d = 2.314 Å, I = 49
2θ = 55.55°, d = 1.654 Å, I = 17
2θ = 55.65°, d = 1.652 Å, I = 17
2θ = 56.43°, d = 1.631 Å, I = 17
2θ = 69.62°, d = 1.351 Å, I = 18
2θ = 69.87°, d = 1.346 Å, I = 26
2θ = 70.19°, d = 1.341 Å, I = 17

***

[2]
This entry pairs a crystal structure of CePm2Hg8 with its simulated PXRD pattern. Radiation: copper Kα. Structure: a DFT-relaxed cell (PBE, Alexandria).
No peak broadening, texture or thermal motion is included.

Atomic structure:
Unit cell a=8.4844 b=8.4844 c=7.3481 alpha=109.28 beta=109.28 gamma=34.90
Fractional positions:
Ce: 0.0000 0.0000 0.0000
Pm: 0.2915 0.2915 0.3502
Pm: 0.7085 0.7085 0.6498
Hg: 0.0946 0.0946 0.4592
Hg: 0.1734 0.1734 0.9012
Hg: 0.3483 0.3483 0.8279
Hg: 0.4786 0.4786 0.2728
Hg: 0.5214 0.5214 0.7272
Hg: 0.6517 0.6517 0.1721
Hg: 0.8266 0.8266 0.0988
Hg: 0.9054 0.9054 0.5408

The 10 most intense peaks (2θ from 15° to 90°), in order of rising 2θ:
2θ = 32.91°, d = 2.722 Å, I = 83
2θ = 33.57°, d = 2.669 Å, I = 100
2θ = 35.28°, d = 2.544 Å, I = 44
2θ = 38.12°, d = 2.361 Å, I = 29
2θ = 42.07°, d = 2.148 Å, I = 20
2θ = 52.91°, d = 1.730 Å, I = 24
2θ = 56.03°, d = 1.641 Å, I = 17
2θ = 61.82°, d = 1.501 Å, I = 14
2θ = 62.23°, d = 1.492 Å, I = 17
2θ = 66.40°, d = 1.408 Å, I = 12

***

[3]
This entry pairs a crystal structure of Tb7Pm2Y with its simulated PXRD pattern. Radiation: copper Kα. Structure: a DFT-relaxed cell (PBE, Alexandria).
No peak broadening, texture or thermal motion is included.

Atomic structure:
Unit cell a=6.1946 b=7.1652 c=8.0049 alpha=77.14 beta=74.96 gamma=73.38
Fractional positions:
Tb: 0.0000 0.0000 0.0000
Tb: 0.2001 0.2999 0.5997
Tb: 0.3993 0.6006 0.1992
Tb: 0.4011 0.0998 0.1988
Tb: 0.5989 0.9002 0.8012
Tb: 0.6007 0.3994 0.8008
Tb: 0.7999 0.7001 0.4003
Pm: 0.2010 0.7998 0.6001
Pm: 0.7990 0.2002 0.3999
Y: 0.0000 0.5000 0.0000

The 10 most intense peaks (2θ from 15° to 90°), in order of rising 2θ:
2θ = 30.58°, d = 2.923 Å, I = 100
2θ = 35.46°, d = 2.532 Å, I = 51
2θ = 50.94°, d = 1.793 Å, I = 12
2θ = 51.05°, d = 1.789 Å, I = 24
2θ = 60.58°, d = 1.528 Å, I = 18
2θ = 60.70°, d = 1.526 Å, I = 21
2θ = 63.67°, d = 1.462 Å, I = 6
2θ = 83.11°, d = 1.162 Å, I = 4
2θ = 83.22°, d = 1.161 Å, I = 9
2θ = 85.88°, d = 1.132 Å, I = 5